The following is a computed powder X-ray diffraction pattern of LiVF6. It was derived from a DFT-relaxed cell (GGA+U, the Materials Project), using Cu Kα X-rays.
Neutral-atom scattering factors, no anomalous dispersion.

Top 6 peaks for 2θ from 15° to 90°, by angle:
2θ 20.23, d = 4.390 Å, I 100.0, hkl 0 1 2
2θ 21.00, d = 4.230 Å, I 45.7, hkl 1 0 -2
2θ 21.25, d = 4.182 Å, I 46.8, hkl 1 0 2
2θ 23.38, d = 3.804 Å, I 25.1, hkl 0 0 4
2θ 24.19, d = 3.679 Å, I 48.6, hkl 1 1 0
2θ 39.98, d = 2.255 Å, I 34.9, hkl 1 0 6

Crystal structure
```
32
Lattice="5.047 0.000 0.000 0.000 5.375 0.000 -0.190 0.000 15.217" Properties=species:S:1:pos:R:3 pbc="T T T"
Li 1.087 1.066 3.841
Li 0.992 1.621 11.450
Li 3.866 3.753 3.767
Li 3.771 4.309 11.376
V 1.183 3.879 9.361
V 1.278 4.183 1.752
V 3.579 1.192 13.465
V 3.674 1.496 5.856
F -0.010 0.291 12.711
F 0.085 2.396 5.102
F 0.434 2.693 2.466
F 0.339 5.369 10.075
F 0.553 4.000 0.171
F 0.458 4.063 7.780
F 1.982 0.385 1.354
F 1.887 2.303 8.963
F 1.929 3.586 11.111
F 2.024 4.476 3.502
F 2.223 0.549 6.191
F 2.128 2.138 13.800
F 2.729 3.236 1.417
F 2.634 4.826 9.026
F 2.833 0.899 11.715
F 2.928 1.789 4.106
F 2.970 3.072 6.254
F 2.875 4.990 13.863
F 4.400 1.312 7.437
F 4.305 1.375 15.046
F 4.519 0.006 5.142
F 4.424 2.681 12.751
F 4.773 2.979 10.115
F 4.868 5.083 2.506
```